[1]
Ca3RhN3: computed powder XRD pattern (Cu Kα), based on the GGA-PBE geometry in the Materials Project.
Lines closer than 0.1° are merged.

Top 10 peaks for 5 to 70 degrees two-theta, most intense first:
3.920 Å, I 100, (1 1 -1)
2.685 Å, I 99, (0 1 2)
6.371 Å, I 82, (1 0 -1)
2.486 Å, I 72, (0 2 0)
2.677 Å, I 48, (2 1 -2)
2.165 Å, I 40, (1 1 -3)
3.190 Å, I 33, (0 0 2)
2.127 Å, I 29, (0 0 3)
2.957 Å, I 27, (2 1 -1)
2.405 Å, I 25, (2 0 -3)

Cell and atoms:
Unit cell a=7.346 b=4.972 c=7.346 alpha=90.00 beta=119.71 gamma=90.00
Sites, in units of the cell vectors:
Ca: 0.094 0.250 0.236
Ca: 0.266 0.250 0.860
Ca: 0.364 0.750 0.594
Ca: 0.636 0.250 0.406
Ca: 0.734 0.750 0.140
Ca: 0.906 0.750 0.764
Rh: 0.332 0.750 0.166
Rh: 0.668 0.250 0.834
N: 0.100 0.750 0.217
N: 0.284 0.750 0.884
N: 0.388 0.250 0.600
N: 0.612 0.750 0.400
N: 0.716 0.250 0.116
N: 0.900 0.250 0.783



[2]
Lu4B3C4: computed powder XRD pattern (Cu Kα), based on the GGA-PBE geometry in the Materials Project.
Lines closer than 0.1° are merged.

Top 10 peaks for 5 to 70 degrees two-theta, most intense first:
2.922 Å, I 100, (0 0 4)
2.427 Å, I 84, (1 1 0)
2.664 Å, I 83, (0 1 -3)
3.081 Å, I 66, (1 0 -2)
2.809 Å, I 66, (1 0 2)
2.414 Å, I 62, (-1 1 1)
2.544 Å, I 60, (0 1 3)
3.307 Å, I 58, (0 1 1)
3.393 Å, I 44, (0 1 -1)
5.844 Å, I 37, (0 0 2)

Cell and atoms:
Unit cell a=3.414 b=3.499 c=11.767 alpha=92.64 beta=96.06 gamma=90.15
Sites, in units of the cell vectors:
Lu: 0.115 0.446 0.141
Lu: 0.305 0.025 0.650
Lu: 0.695 0.975 0.350
Lu: 0.885 0.554 0.859
B: 0.233 0.493 0.460
B: 0.500 0.000 0.000
B: 0.767 0.507 0.540
C: 0.188 0.472 0.331
C: 0.386 0.064 0.879
C: 0.614 0.936 0.121
C: 0.812 0.528 0.669



[3]
SmCoP: computed powder XRD pattern (Cu Kα), based on the GGA-PBE geometry in the Materials Project.
Lines closer than 0.1° are merged.

Top 10 peaks for 5 to 70 degrees two-theta, most intense first:
3.455 Å, I 100, (1 0 1)
2.220 Å, I 89, (1 1 2)
2.703 Å, I 51, (1 0 2)
1.945 Å, I 44, (2 0 0)
2.584 Å, I 29, (1 1 1)
2.751 Å, I 29, (1 1 0)
1.695 Å, I 27, (2 1 1)
1.692 Å, I 26, (1 0 4)
1.579 Å, I 19, (2 1 2)
2.506 Å, I 18, (0 0 3)

Cell and atoms:
Unit cell a=3.891 b=3.891 c=7.517 alpha=90.00 beta=90.00 gamma=90.00
Sites, in units of the cell vectors:
Sm: 0.250 0.250 0.201
Sm: 0.750 0.750 0.799
Co: 0.250 0.750 0.500
Co: 0.750 0.250 0.500
P: 0.250 0.250 0.663
P: 0.750 0.750 0.337